# Mn4Se2O
Simulated XRD peak list, λ = 1.5418 Å (Cu Kα). Input: a crystal structure in Alexandria, relaxed with GGA+U.
Intensities are scaled so that the largest is 100.

Crystal structure
Unit cell a=16.658 b=16.658 c=16.658 alpha=160.55 beta=160.55 gamma=27.65
Fractional positions:
Mn: 0.038 0.788 0.250
Mn: 0.053 0.803 0.606
Mn: 0.197 0.303 0.250
Mn: 0.212 0.962 0.250
Mn: 0.288 0.538 0.750
Mn: 0.303 0.553 0.106
Mn: 0.447 0.053 0.750
Mn: 0.462 0.712 0.750
Mn: 0.538 0.288 0.250
Mn: 0.553 0.947 0.250
Mn: 0.697 0.447 0.894
Mn: 0.712 0.462 0.250
Mn: 0.788 0.038 0.750
Mn: 0.803 0.697 0.750
Mn: 0.947 0.197 0.394
Mn: 0.962 0.212 0.750
Se: 0.046 0.296 0.750
Se: 0.204 0.454 0.750
Se: 0.296 0.046 0.250
Se: 0.454 0.204 0.250
Se: 0.546 0.796 0.750
Se: 0.704 0.954 0.750
Se: 0.796 0.546 0.250
Se: 0.954 0.704 0.250
O: 0.125 0.875 0.250
O: 0.375 0.625 0.750
O: 0.625 0.375 0.250
O: 0.875 0.125 0.750

Largest 10 diffraction maxima, by angle, 2θ from 5° to 70°:
31.79 deg, d = 2.814 Å, I 72; 33.23 deg, d = 2.696 Å, I 100; 33.72 deg, d = 2.658 Å, I 85; 35.78 deg, d = 2.510 Å, I 16; 38.99 deg, d = 2.310 Å, I 66; 45.38 deg, d = 1.998 Å, I 14; 45.58 deg, d = 1.990 Å, I 58; 46.65 deg, d = 1.947 Å, I 41; 54.27 deg, d = 1.690 Å, I 16; 57.56 deg, d = 1.601 Å, I 51